(1)
Starting from a crystal structure in the Materials Project, relaxed with GGA-PBE, the powder X-ray diffraction pattern of Ce3Si2S8I was calculated for Cu Kα X-rays.

Cell and atoms:
Cell: 16.089 7.890 10.912 Å, 90.00 97.91 90.00°
Space group C2/c (No. 15)
One atom of each set of equivalent atoms:
Ce 0.000 0.095 0.250
Ce 0.199 0.378 0.681
Si 0.160 0.037 0.030
S 0.069 0.154 0.543
S 0.145 0.244 0.148
S 0.150 0.100 0.839
S 0.218 0.431 0.414
I 0.000 0.486 0.750

Most intense lines, 2θ from 10° to 80°, in order of rising 2θ:
d = 5.404 Å, I 100; d = 4.211 Å, I 37; d = 3.927 Å, I 38; d = 3.706 Å, I 67; d = 3.441 Å, I 53; d = 3.045 Å, I 40; d = 2.780 Å, I 78; d = 2.658 Å, I 55; d = 2.395 Å, I 49; d = 2.324 Å, I 40

=====

(2)
Starting from a crystal structure in the Materials Project, relaxed with GGA-PBE, the powder X-ray diffraction pattern of Ce3SiI3 was calculated for Cu Kα X-rays.

Cell and atoms:
Cell: 12.398 12.398 12.398 Å, 90.00 90.00 90.00°
Space group I4_132 (No. 214)
One atom of each set of equivalent atoms:
Ce 0.109 0.359 0.125
Si 0.125 0.125 0.125
I 0.116 0.134 0.625

Most intense lines, 2θ from 10° to 80°, in order of rising 2θ:
d = 5.061 Å, I 11; d = 3.313 Å, I 37; d = 3.099 Å, I 100; d = 2.643 Å, I 21; d = 2.192 Å, I 70; d = 1.789 Å, I 23; d = 1.687 Å, I 17; d = 1.575 Å, I 14; d = 1.386 Å, I 26; d = 1.265 Å, I 18